# 1
Theoretical X-ray powder pattern of Ac2Nd3Sn4 for λ = 1.5418 Å (Cu Kα), from a structure optimized by DFT (PBE).
No peak broadening, texture or thermal motion is included.

Largest 10 diffraction maxima, by angle, 5 to 70 degrees two-theta:
| 2theta | d/Å | I_rel |
| --- | --- | --- |
| 27.33 | 3.263 | 30 |
| 27.58 | 3.235 | 36 |
| 29.37 | 3.041 | 70 |
| 29.56 | 3.022 | 21 |
| 29.73 | 3.005 | 29 |
| 29.95 | 2.984 | 100 |
| 32.88 | 2.724 | 71 |
| 33.14 | 2.703 | 23 |
| 33.54 | 2.672 | 55 |
| 45.60 | 1.990 | 16 |

Structural model:
abc: 8.6598 8.7037 8.4206
angles: 90.00 109.42 90.00
Atoms (fractional coordinates):
Ac: 0.1933 0.1762 0.0677
Ac: 0.1933 0.3238 0.5677
Ac: 0.8067 0.6762 0.4323
Ac: 0.8067 0.8238 0.9323
Nd: 0.2483 0.6709 0.2482
Nd: 0.2483 0.8291 0.7482
Nd: 0.5000 0.0000 0.5000
Nd: 0.5000 0.5000 0.0000
Nd: 0.7517 0.1709 0.2518
Nd: 0.7517 0.3291 0.7518
Sn: 0.0824 0.5392 0.8545
Sn: 0.0824 0.9608 0.3545
Sn: 0.4928 0.1316 0.8654
Sn: 0.4928 0.3684 0.3654
Sn: 0.5072 0.6316 0.6346
Sn: 0.5072 0.8684 0.1346
Sn: 0.9176 0.0392 0.6455
Sn: 0.9176 0.4608 0.1455

# 2
Theoretical X-ray powder pattern of Ac12NdSn4 for λ = 1.5418 Å (Cu Kα), from a structure optimized by DFT (PBE).
No peak broadening, texture or thermal motion is included.

Largest 10 diffraction maxima, by angle, 5 to 70 degrees two-theta:
| 2theta | d/Å | I_rel |
| --- | --- | --- |
| 23.87 | 3.728 | 100 |
| 28.33 | 3.151 | 53 |
| 34.01 | 2.636 | 20 |
| 37.37 | 2.406 | 26 |
| 38.96 | 2.312 | 19 |
| 44.83 | 2.022 | 30 |
| 47.55 | 1.912 | 14 |
| 52.66 | 1.738 | 24 |
| 66.34 | 1.409 | 14 |
| 67.41 | 1.389 | 21 |

Structural model:
abc: 10.2093 10.2093 10.2093
angles: 109.47 109.47 109.47
Atoms (fractional coordinates):
Ac: 0.1634 0.8351 0.3282
Ac: 0.1649 0.3282 0.4931
Ac: 0.1649 0.6718 0.8366
Ac: 0.3282 0.1634 0.8351
Ac: 0.3282 0.4931 0.1649
Ac: 0.4931 0.1649 0.3282
Ac: 0.5069 0.8351 0.6718
Ac: 0.6718 0.5069 0.8351
Ac: 0.6718 0.8366 0.1649
Ac: 0.8351 0.3282 0.1634
Ac: 0.8351 0.6718 0.5069
Ac: 0.8366 0.1649 0.6718
Nd: 0.0000 0.0000 0.0000
Sn: 0.0000 0.0000 0.5000
Sn: 0.0000 0.5000 0.0000
Sn: 0.5000 0.0000 0.0000
Sn: 0.5000 0.5000 0.5000

# 3
Theoretical X-ray powder pattern of Ac2Nd3Sn2 for λ = 1.5418 Å (Cu Kα), from a structure optimized by DFT (PBE).
No peak broadening, texture or thermal motion is included.

Largest 10 diffraction maxima, by angle, 5 to 70 degrees two-theta:
| 2theta | d/Å | I_rel |
| --- | --- | --- |
| 24.18 | 3.680 | 31 |
| 27.34 | 3.262 | 66 |
| 28.49 | 3.133 | 89 |
| 29.59 | 3.019 | 77 |
| 29.95 | 2.984 | 28 |
| 30.07 | 2.972 | 34 |
| 31.28 | 2.859 | 100 |
| 35.46 | 2.531 | 24 |
| 38.52 | 2.337 | 46 |
| 54.12 | 1.695 | 45 |

Structural model:
abc: 12.7483 4.6748 9.1087
angles: 90.00 111.16 90.00
Atoms (fractional coordinates):
Ac: 0.1436 0.0000 0.2997
Ac: 0.3564 0.5000 0.7003
Ac: 0.6436 0.5000 0.2997
Ac: 0.8564 0.0000 0.7003
Nd: 0.0000 0.5000 0.5000
Nd: 0.1300 0.5000 0.9458
Nd: 0.3700 0.0000 0.0542
Nd: 0.5000 0.0000 0.5000
Nd: 0.6300 0.0000 0.9458
Nd: 0.8700 0.5000 0.0542
Sn: 0.1592 0.0000 0.7103
Sn: 0.3408 0.5000 0.2897
Sn: 0.6592 0.5000 0.7103
Sn: 0.8408 0.0000 0.2897